(1)
Theoretical powder XRD pattern of Sm2DyHoSb4 for Cu Kα (λ = 1.5418 Å), from a GGA-PBE-relaxed structure.

Most intense lines, 2θ from 10° to 80°, in order of rising 2θ:
2θ 24.64, rel. 3
2θ 28.53, rel. 100
2θ 40.79, rel. 76
2θ 48.24, rel. 2
2θ 50.53, rel. 27
2θ 59.05, rel. 13
2θ 64.97, rel. 1
2θ 66.87, rel. 35
2θ 74.26, rel. 26
2θ 79.62, rel. 1

Atomic structure:
abc: 7.6596 4.4267 7.6634
angles: 90.00 109.48 90.00
Element x y z (fractional)
Sm: 0.0000 0.0000 0.0000
Sm: 0.0000 0.5000 0.5000
Dy: 0.5000 0.0000 0.5000
Ho: 0.5000 0.5000 0.0000
Sb: 0.2564 0.0000 0.7526
Sb: 0.2561 0.5000 0.2515
Sb: 0.7436 0.0000 0.2474
Sb: 0.7439 0.5000 0.7485


(2)
Theoretical powder XRD pattern of Dy7Ho3Sc for Cu Kα (λ = 1.5418 Å), from a GGA-PBE-relaxed structure.

Most intense lines, 2θ from 10° to 80°, in order of rising 2θ:
2θ 25.39, rel. 17
2θ 28.96, rel. 27
2θ 31.21, rel. 24
2θ 32.18, rel. 100
2θ 32.36, rel. 46
2θ 32.65, rel. 37
2θ 33.77, rel. 59
2θ 37.97, rel. 14
2θ 53.23, rel. 14
2θ 59.96, rel. 15

Atomic structure:
abc: 9.7055 9.7055 6.5058
angles: 100.75 100.75 138.46
Element x y z (fractional)
Dy: 0.0000 0.0000 0.0000
Dy: 0.0597 0.3799 0.4429
Dy: 0.3799 0.0597 0.4429
Dy: 0.4140 0.5860 0.0000
Dy: 0.5860 0.4140 0.0000
Dy: 0.6201 0.9403 0.5571
Dy: 0.9403 0.6201 0.5571
Ho: 0.0000 0.5000 0.0000
Ho: 0.5000 0.0000 0.0000
Ho: 0.5000 0.5000 0.5000
Sc: 0.0000 0.0000 0.5000


(3)
Theoretical powder XRD pattern of DyHo9Sc2 for Cu Kα (λ = 1.5418 Å), from a GGA-PBE-relaxed structure.

Most intense lines, 2θ from 10° to 80°, in order of rising 2θ:
2θ 18.01, rel. 5
2θ 25.57, rel. 5
2θ 31.45, rel. 100
2θ 36.48, rel. 50
2θ 40.96, rel. 3
2θ 52.54, rel. 35
2θ 62.50, rel. 28
2θ 62.60, rel. 14
2θ 65.65, rel. 12
2θ 77.44, rel. 4

Atomic structure:
abc: 4.9298 4.9298 14.7587
angles: 90.00 90.00 90.00
Element x y z (fractional)
Dy: 0.0000 0.0000 0.0000
Ho: 0.0000 0.5000 0.1709
Ho: 0.0000 0.5000 0.5000
Ho: 0.0000 0.5000 0.8291
Ho: 0.5000 0.0000 0.1709
Ho: 0.5000 0.0000 0.5000
Ho: 0.5000 0.0000 0.8291
Ho: 0.5000 0.5000 0.0000
Ho: 0.5000 0.5000 0.3359
Ho: 0.5000 0.5000 0.6641
Sc: 0.0000 0.0000 0.3352
Sc: 0.0000 0.0000 0.6648


(4)
Theoretical powder XRD pattern of Dy3Ho7Sc for Cu Kα (λ = 1.5418 Å), from a GGA-PBE-relaxed structure.

Most intense lines, 2θ from 10° to 80°, in order of rising 2θ:
2θ 26.16, rel. 20
2θ 30.75, rel. 37
2θ 32.05, rel. 92
2θ 32.80, rel. 100
2θ 33.13, rel. 65
2θ 33.61, rel. 31
2θ 34.27, rel. 18
2θ 34.47, rel. 17
2θ 58.49, rel. 20
2θ 58.97, rel. 19

Atomic structure:
abc: 6.7316 5.4085 9.7852
angles: 90.00 104.36 90.00
Element x y z (fractional)
Dy: 0.0000 0.0000 0.0000
Dy: 0.2686 0.5000 0.4792
Dy: 0.7314 0.5000 0.5208
Ho: 0.0000 0.0000 0.5000
Ho: 0.1639 0.5000 0.7849
Ho: 0.3148 0.5000 0.1238
Ho: 0.4607 0.0000 0.3266
Ho: 0.5393 0.0000 0.6734
Ho: 0.6852 0.5000 0.8762
Ho: 0.8361 0.5000 0.2151
Sc: 0.5000 0.0000 0.0000